# Ba9Sm6Cl34
Simulated powder X-ray diffraction pattern, λ = 1.5418 Å (Cu Kα). Input: a GGA-PBE-relaxed structure.

Structure:
```
data_Ba9Sm6Cl34
_chemical_formula_sum 'Ba9 Sm6 Cl34'
_cell_length_a 13.4923
_cell_length_b 13.4923
_cell_length_c 13.4923
_cell_angle_alpha 130.23
_cell_angle_beta 130.23
_cell_angle_gamma 73.03
_space_group_name_H-M_alt 'P 1'
_space_group_IT_number 1
loop_
_space_group_symop_operation_xyz
'x,y,z'
loop_
_atom_site_label
_atom_site_type_symbol
_atom_site_fract_x
_atom_site_fract_y
_atom_site_fract_z
Ba1 Ba 0.0000 0.0000 0.0000
Ba2 Ba 0.0214 0.8407 0.5470
Ba3 Ba 0.1593 0.7063 0.1807
Ba4 Ba 0.2937 0.4744 0.4530
Ba5 Ba 0.4744 0.0214 0.1807
Ba6 Ba 0.5256 0.9786 0.8193
Ba7 Ba 0.7063 0.5256 0.5470
Ba8 Ba 0.8407 0.2937 0.8193
Ba9 Ba 0.9786 0.1593 0.4530
Sm1 Sm 0.1807 0.6061 0.7868
Sm2 Sm 0.3141 0.3141 0.0000
Sm3 Sm 0.3939 0.1807 0.5746
Sm4 Sm 0.6061 0.8193 0.4254
Sm5 Sm 0.6859 0.6859 0.0000
Sm6 Sm 0.8193 0.3939 0.2132
Cl1 Cl 0.0085 0.7058 0.8740
Cl2 Cl 0.0501 0.1524 0.7206
Cl3 Cl 0.0757 0.5757 0.5000
Cl4 Cl 0.1344 0.0085 0.3027
Cl5 Cl 0.1524 0.4318 0.1023
Cl6 Cl 0.1683 0.8656 0.8740
Cl7 Cl 0.1697 0.4491 0.8607
Cl8 Cl 0.2229 0.3593 0.5823
Cl9 Cl 0.2500 0.7500 0.5000
Cl10 Cl 0.2942 0.1683 0.3027
Cl11 Cl 0.3090 0.1697 0.7206
Cl12 Cl 0.3295 0.0501 0.8977
Cl13 Cl 0.3593 0.7771 0.1364
Cl14 Cl 0.4116 0.6910 0.8607
Cl15 Cl 0.4243 0.9243 0.5000
Cl16 Cl 0.4318 0.3295 0.2794
Cl17 Cl 0.4491 0.5884 0.2794
Cl18 Cl 0.5509 0.4116 0.7206
Cl19 Cl 0.5682 0.6705 0.7206
Cl20 Cl 0.5757 0.0757 0.5000
Cl21 Cl 0.5884 0.3090 0.1393
Cl22 Cl 0.6407 0.2229 0.8636
Cl23 Cl 0.6705 0.9499 0.1023
Cl24 Cl 0.6910 0.8303 0.2794
Cl25 Cl 0.7058 0.8317 0.6973
Cl26 Cl 0.7500 0.2500 0.5000
Cl27 Cl 0.7771 0.6407 0.4177
Cl28 Cl 0.8303 0.5509 0.1393
Cl29 Cl 0.8317 0.1344 0.1260
Cl30 Cl 0.8476 0.5682 0.8977
Cl31 Cl 0.8656 0.9915 0.6973
Cl32 Cl 0.9243 0.4243 0.5000
Cl33 Cl 0.9499 0.8476 0.2794
Cl34 Cl 0.9915 0.2942 0.1260
```

Top 10 peaks for 2θ = 15–90°, by angle:
2θ/deg  I_rel
21.38  100
24.63  8
24.80  15
34.87  9
35.23  60
35.35  26
41.47  19
41.69  35
55.62  11
63.38  11

---

# SnO2
Simulated powder X-ray diffraction pattern, λ = 1.5418 Å (Cu Kα). Input: a GGA-PBE-relaxed structure.

Structure:
```
data_SnO2
_chemical_formula_sum 'Sn3 O6'
_cell_length_a 3.2342
_cell_length_b 3.2342
_cell_length_c 14.4018
_cell_angle_alpha 90.00
_cell_angle_beta 90.00
_cell_angle_gamma 120.00
_space_group_name_H-M_alt 'P 1'
_space_group_IT_number 1
loop_
_space_group_symop_operation_xyz
'x,y,z'
loop_
_atom_site_label
_atom_site_type_symbol
_atom_site_fract_x
_atom_site_fract_y
_atom_site_fract_z
Sn1 Sn 0.0000 0.0000 0.0000
Sn2 Sn 0.3333 0.6667 0.6667
Sn3 Sn 0.6667 0.3333 0.3333
O1 O 0.0000 0.0000 0.2628
O2 O 0.0000 0.0000 0.7372
O3 O 0.3333 0.6667 0.4038
O4 O 0.3333 0.6667 0.9295
O5 O 0.6667 0.3333 0.0705
O6 O 0.6667 0.3333 0.5962
```

Top 10 peaks for 2θ = 15–90°, by angle:
2θ/deg  I_rel
18.48  100
32.57  62
34.35  30
40.82  56
45.15  22
55.41  19
56.94  21
60.40  26
61.20  15
70.18  11

---

# Pr7O12
Simulated powder X-ray diffraction pattern, λ = 1.5418 Å (Cu Kα). Input: a GGA-PBE-relaxed structure.

Structure:
```
data_Pr7O12
_chemical_formula_sum 'Pr7 O12'
_cell_length_a 6.1383
_cell_length_b 8.6809
_cell_length_c 8.6809
_cell_angle_alpha 120.00
_cell_angle_beta 90.00
_cell_angle_gamma 90.00
_space_group_name_H-M_alt 'P 1'
_space_group_IT_number 1
loop_
_space_group_symop_operation_xyz
'x,y,z'
loop_
_atom_site_label
_atom_site_type_symbol
_atom_site_fract_x
_atom_site_fract_y
_atom_site_fract_z
Pr1 Pr 0.0000 0.0000 0.0000
Pr2 Pr 0.1388 0.6928 0.3919
Pr3 Pr 0.3009 0.4693 0.8612
Pr4 Pr 0.3919 0.1621 0.3009
Pr5 Pr 0.6081 0.8379 0.6991
Pr6 Pr 0.6991 0.5307 0.1388
Pr7 Pr 0.8612 0.3072 0.6081
O1 O 0.0605 0.3918 0.0662
O2 O 0.0662 0.2651 0.3256
O3 O 0.1790 0.1426 0.5617
O4 O 0.3256 0.8733 0.9395
O5 O 0.4191 0.7407 0.1790
O6 O 0.4383 0.5981 0.4191
O7 O 0.5617 0.4019 0.5809
O8 O 0.5809 0.2593 0.8210
O9 O 0.6744 0.1267 0.0605
O10 O 0.8210 0.8574 0.4383
O11 O 0.9338 0.7349 0.6744
O12 O 0.9395 0.6082 0.9338
```

Top 10 peaks for 2θ = 15–90°, by angle:
2θ/deg  I_rel
20.46  100
25.13  95
27.83  52
31.48  60
34.79  56
38.81  42
43.40  62
50.80  29
55.33  21
61.69  22

---

# LiCu3F10
Simulated powder X-ray diffraction pattern, λ = 1.5418 Å (Cu Kα). Input: a GGA-PBE-relaxed structure.

Structure:
```
data_LiCu3F10
_chemical_formula_sum 'Li4 Cu12 F40'
_cell_length_a 8.1139
_cell_length_b 8.1139
_cell_length_c 14.0655
_cell_angle_alpha 96.87
_cell_angle_beta 96.87
_cell_angle_gamma 124.12
_space_group_name_H-M_alt 'P 1'
_space_group_IT_number 1
loop_
_space_group_symop_operation_xyz
'x,y,z'
loop_
_atom_site_label
_atom_site_type_symbol
_atom_site_fract_x
_atom_site_fract_y
_atom_site_fract_z
Li1 Li 0.1067 0.8933 0.5000
Li2 Li 0.3404 0.8321 0.9266
Li3 Li 0.8321 0.3404 0.4266
Li4 Li 0.8933 0.1067 0.0000
Cu1 Cu 0.0382 0.1510 0.2688
Cu2 Cu 0.0835 0.8347 0.0887
Cu3 Cu 0.1510 0.0382 0.7688
Cu4 Cu 0.2296 0.6969 0.3209
Cu5 Cu 0.3231 0.5830 0.5788
Cu6 Cu 0.5195 0.6484 0.0060
Cu7 Cu 0.5679 0.6537 0.2650
Cu8 Cu 0.5830 0.3231 0.0788
Cu9 Cu 0.6484 0.5195 0.5060
Cu10 Cu 0.6537 0.5679 0.7650
Cu11 Cu 0.6969 0.2296 0.8209
Cu12 Cu 0.8347 0.0835 0.5887
F1 F 0.0876 0.1997 0.7231
F2 F 0.1209 0.9159 0.6414
F3 F 0.1846 0.7402 0.1686
F4 F 0.1997 0.0876 0.2231
F5 F 0.2372 0.9450 0.8567
F6 F 0.2427 0.4756 0.2658
F7 F 0.2427 0.9106 0.3861
F8 F 0.2537 0.5755 0.9634
F9 F 0.2607 0.6428 0.4652
F10 F 0.2651 0.7365 0.6428
F11 F 0.3270 0.9847 0.0551
F12 F 0.3675 0.4095 0.5074
F13 F 0.4095 0.3675 0.0074
F14 F 0.4105 0.5377 0.6951
F15 F 0.4756 0.2427 0.7658
F16 F 0.5090 0.8421 0.3322
F17 F 0.5206 0.7126 0.1412
F18 F 0.5377 0.4105 0.1951
F19 F 0.5485 0.9613 0.8026
F20 F 0.5720 0.5999 0.8797
F21 F 0.5755 0.2537 0.4634
F22 F 0.5999 0.5720 0.3797
F23 F 0.6076 0.9044 0.9901
F24 F 0.6428 0.2607 0.9652
F25 F 0.6522 0.8228 0.5977
F26 F 0.7126 0.5206 0.6412
F27 F 0.7365 0.2651 0.1428
F28 F 0.7402 0.1846 0.6686
F29 F 0.8228 0.6522 0.0977
F30 F 0.8421 0.5090 0.8322
F31 F 0.8576 0.8790 0.2868
F32 F 0.8790 0.8576 0.7868
F33 F 0.9044 0.6076 0.4901
F34 F 0.9106 0.2427 0.8861
F35 F 0.9159 0.1209 0.1414
F36 F 0.9160 0.9806 0.5011
F37 F 0.9450 0.2372 0.3567
F38 F 0.9613 0.5485 0.3026
F39 F 0.9806 0.9160 0.0011
F40 F 0.9847 0.3270 0.5551
```

Top 10 peaks for 2θ = 15–90°, by angle:
2θ/deg  I_rel
16.32  43
21.16  26
22.24  43
23.22  100
24.21  73
26.21  34
28.14  51
29.07  36
29.50  32
50.00  28

---

# Y3B3O7
Simulated powder X-ray diffraction pattern, λ = 1.5418 Å (Cu Kα). Input: a GGA-PBE-relaxed structure.

Structure:
```
data_Y3B3O7
_chemical_formula_sum 'Y6 B6 O14'
_cell_length_a 25.1412
_cell_length_b 4.0237
_cell_length_c 4.0237
_cell_angle_alpha 56.13
_cell_angle_beta 90.00
_cell_angle_gamma 90.00
_space_group_name_H-M_alt 'P 1'
_space_group_IT_number 1
loop_
_space_group_symop_operation_xyz
'x,y,z'
loop_
_atom_site_label
_atom_site_type_symbol
_atom_site_fract_x
_atom_site_fract_y
_atom_site_fract_z
Y1 Y 0.0819 0.0000 0.0000
Y2 Y 0.2452 0.9944 0.9944
Y3 Y 0.4182 0.9873 0.9873
Y4 Y 0.5818 0.9873 0.9873
Y5 Y 0.7548 0.9944 0.9944
Y6 Y 0.9181 0.0000 0.0000
B1 B 0.0000 0.2416 0.2416
B2 B 0.1637 0.7555 0.7555
B3 B 0.3316 0.3541 0.3541
B4 B 0.5000 0.7445 0.7445
B5 B 0.6684 0.3541 0.3541
B6 B 0.8363 0.7555 0.7555
O1 O 0.0480 0.3380 0.3380
O2 O 0.1153 0.6619 0.6619
O3 O 0.2112 0.6539 0.6539
O4 O 0.2793 0.3199 0.3199
O5 O 0.3317 0.9714 0.9714
O6 O 0.3835 0.3161 0.3161
O7 O 0.4520 0.6464 0.6464
O8 O 0.5480 0.6464 0.6464
O9 O 0.6165 0.3161 0.3161
O10 O 0.6683 0.9714 0.9714
O11 O 0.7207 0.3199 0.3199
O12 O 0.7889 0.6539 0.6539
O13 O 0.8847 0.6619 0.6619
O14 O 0.9520 0.3380 0.3380
```

Top 10 peaks for 2θ = 15–90°, by angle:
2θ/deg  I_rel
21.20  95
25.08  46
26.68  88
33.07  62
34.33  100
45.18  55
48.07  25
50.41  42
50.59  24
51.48  58

---

# LiAl2Pd
Simulated powder X-ray diffraction pattern, λ = 1.5418 Å (Cu Kα). Input: a GGA-PBE-relaxed structure.

Structure:
```
data_LiAl2Pd
_chemical_formula_sum 'Li4 Al8 Pd4'
_cell_length_a 6.1086
_cell_length_b 6.1086
_cell_length_c 6.1086
_cell_angle_alpha 90.00
_cell_angle_beta 90.00
_cell_angle_gamma 90.00
_space_group_name_H-M_alt 'P 1'
_space_group_IT_number 1
loop_
_space_group_symop_operation_xyz
'x,y,z'
loop_
_atom_site_label
_atom_site_type_symbol
_atom_site_fract_x
_atom_site_fract_y
_atom_site_fract_z
Li1 Li 0.0000 0.0000 0.0000
Li2 Li 0.0000 0.5000 0.5000
Li3 Li 0.5000 0.0000 0.5000
Li4 Li 0.5000 0.5000 0.0000
Al1 Al 0.2500 0.2500 0.2500
Al2 Al 0.2500 0.2500 0.7500
Al3 Al 0.2500 0.7500 0.2500
Al4 Al 0.2500 0.7500 0.7500
Al5 Al 0.7500 0.2500 0.2500
Al6 Al 0.7500 0.2500 0.7500
Al7 Al 0.7500 0.7500 0.2500
Al8 Al 0.7500 0.7500 0.7500
Pd1 Pd 0.0000 0.0000 0.5000
Pd2 Pd 0.0000 0.5000 0.0000
Pd3 Pd 0.5000 0.0000 0.0000
Pd4 Pd 0.5000 0.5000 0.5000
```

Top 10 peaks for 2θ = 15–90°, by angle:
2θ/deg  I_rel
25.25  99
29.24  17
41.83  100
49.49  46
51.85  5
60.64  16
66.75  18
68.72  6
76.38  33
81.95  14